Entry 1:
Computed powder diffractogram of Na2CoAgF6 for copper Kα, from DFT lattice parameters and positions (GGA+U).
Peak positions follow from Bragg's law for the DFT cell and can differ from measured ones.

Main lines, in order of falling intensity (10 to 90 degrees two-theta):
29.90 deg, d 2.988, I 100, (2 2 0)
21.02 deg, d 4.226, I 100, (2 0 0)
42.80 deg, d 2.113, I 58, (4 0 0)
48.15 deg, d 1.890, I 37, (4 2 0)
53.09 deg, d 1.725, I 37, (4 2 2)
62.13 deg, d 1.494, I 32, (4 4 0)
86.09 deg, d 1.129, I 19, (6 4 2)
70.47 deg, d 1.336, I 17, (6 2 0)
66.36 deg, d 1.409, I 16, (6 0 0)
35.22 deg, d 2.548, I 11, (3 1 1)

Structure:
Lattice parameters (Å, degrees): 8.4516 8.4516 8.4516 90.00 90.00 90.00
Space group Fm-3m (No. 225)
Unique sites:
Na 0.2500 0.2500 0.2500
Co 0.0000 0.0000 0.0000
Ag 0.0000 0.0000 0.5000
F 0.0000 0.0000 0.2298

Entry 2:
Computed powder diffractogram of Li4Co3NiO8 for copper Kα, from DFT lattice parameters and positions (GGA+U).
Peak positions follow from Bragg's law for the DFT cell and can differ from measured ones.

Main lines, in order of falling intensity (10 to 90 degrees two-theta):
18.73 deg, d 4.738, I 100, (0 0 3)
44.65 deg, d 2.030, I 68, (0 2 4)
36.90 deg, d 2.436, I 39, (0 2 1)
65.37 deg, d 1.428, I 19, (2 2 0)
64.60 deg, d 1.443, I 18, (2 0 8)
38.55 deg, d 2.335, I 14, (2 0 2)
58.85 deg, d 1.569, I 14, (0 2 7)
68.67 deg, d 1.367, I 14, (2 2 3)
48.82 deg, d 1.866, I 13, (2 0 5)
82.64 deg, d 1.168, I 9, (4 0 4)

Structure:
Lattice parameters (Å, degrees): 5.7102 5.7102 14.2126 90.00 90.00 120.00
Space group R-3m (No. 166, hexagonal axes)
Unique sites:
Li 0.0000 0.0000 0.0000
Li 0.0000 0.5000 0.0000
Co 0.0000 0.5000 0.5000
Ni 0.0000 0.0000 0.5000
O 0.0000 0.0000 0.2391
O 0.0095 0.5048 0.7600